[1]
Diffraction record for Sm12Y3Mg. The powder X-ray diffraction pattern is computed, not measured: it uses the GGA-PBE geometry in Alexandria and CuKα.
Peak positions follow from Bragg's law for the DFT cell and can differ from measured ones.

Crystal structure
```
16
Lattice="5.0764 0.0000 0.0000 0.0000 5.0764 0.0000 0.0000 0.0000 20.4173" Properties=species:S:1:pos:R:3 pbc="T T T"
Sm 0.0000 0.0000 0.0000
Sm 0.0000 0.0000 5.0215
Sm 0.0000 0.0000 10.2086
Sm 0.0000 0.0000 15.3958
Sm 0.0000 2.5382 2.4990
Sm 0.0000 2.5382 7.6333
Sm 0.0000 2.5382 12.7840
Sm 0.0000 2.5382 17.9183
Sm 2.5382 0.0000 2.4990
Sm 2.5382 0.0000 7.6333
Sm 2.5382 0.0000 12.7840
Sm 2.5382 0.0000 17.9183
Y 2.5382 2.5382 5.0587
Y 2.5382 2.5382 10.2086
Y 2.5382 2.5382 15.3586
Mg 2.5382 2.5382 0.0000
```

Peak list (8 most intense, 2θ = 15–90°, sorted by position)
30.4°, d = 2.936 Å, I 100; 35.2°, d = 2.552 Å, I 17; 35.4°, d = 2.538 Å, I 34; 50.7°, d = 1.800 Å, I 24; 50.9°, d = 1.795 Å, I 12; 60.2°, d = 1.537 Å, I 14; 60.5°, d = 1.531 Å, I 28; 63.4°, d = 1.468 Å, I 12

=====

[2]
Diffraction record for SmYMg5. The powder X-ray diffraction pattern is computed, not measured: it uses the GGA-PBE geometry in Alexandria and CuKα.
Peak positions follow from Bragg's law for the DFT cell and can differ from measured ones.

Crystal structure
```
7
Lattice="3.1885 -4.8434 0.0000 3.1885 4.8434 0.0000 -2.2448 0.0000 6.2689" Properties=species:S:1:pos:R:3 pbc="T T T"
Sm 0.0000 0.0000 0.0000
Y 2.0662 0.0000 3.1344
Mg -1.1224 0.0000 3.1344
Mg 0.1542 2.0496 4.8547
Mg 3.9781 2.0496 1.4142
Mg 0.1542 -2.0496 4.8547
Mg 3.9781 -2.0496 1.4142
```

Peak list (8 most intense, 2θ = 15–90°, sorted by position)
18.3°, d = 4.843 Å, I 46; 19.0°, d = 4.666 Å, I 100; 25.5°, d = 3.497 Å, I 78; 32.4°, d = 2.761 Å, I 59; 33.7°, d = 2.662 Å, I 45; 34.1°, d = 2.631 Å, I 81; 35.2°, d = 2.552 Å, I 69; 37.1°, d = 2.422 Å, I 27

=====

[3]
Diffraction record for Sm5YMg3. The powder X-ray diffraction pattern is computed, not measured: it uses the GGA-PBE geometry in Alexandria and CuKα.
Peak positions follow from Bragg's law for the DFT cell and can differ from measured ones.

Crystal structure
```
18
Lattice="6.8279 -4.0833 0.0000 6.8279 4.0833 0.0000 -1.4414 0.0000 10.7238" Properties=species:S:1:pos:R:3 pbc="T T T"
Sm -0.7767 0.0000 6.8690
Sm 4.3745 1.6839 2.9406
Sm 6.8279 2.6918 0.0000
Sm 2.1298 0.0000 10.3928
Sm 7.8399 1.6839 7.7832
Sm 4.3745 -1.6839 2.9406
Sm 10.0846 0.0000 0.3310
Sm 6.8279 -2.6918 0.0000
Sm 7.8399 -1.6839 7.7832
Sm 12.9911 0.0000 3.8548
Y 4.3567 0.0000 7.8625
Y 7.8577 0.0000 2.8612
Mg 1.8489 0.0000 2.2468
Mg 2.2898 0.0000 5.3141
Mg 6.8279 0.0000 0.0000
Mg 6.1072 0.0000 5.3619
Mg 9.9247 0.0000 5.4097
Mg 10.3655 0.0000 8.4769
```

Peak list (8 most intense, 2θ = 15–90°, sorted by position)
22.5°, d = 3.949 Å, I 29; 24.9°, d = 3.575 Å, I 37; 26.6°, d = 3.355 Å, I 28; 27.4°, d = 3.258 Å, I 100; 29.3°, d = 3.051 Å, I 30; 29.5°, d = 3.024 Å, I 31; 33.1°, d = 2.704 Å, I 29; 34.4°, d = 2.606 Å, I 46

=====

[4]
Diffraction record for Sm4Y7Mg. The powder X-ray diffraction pattern is computed, not measured: it uses the GGA-PBE geometry in Alexandria and CuKα.
Peak positions follow from Bragg's law for the DFT cell and can differ from measured ones.

Crystal structure
```
12
Lattice="6.5773 0.0000 0.0000 2.8208 5.9599 0.0000 0.0367 0.0006 9.8349" Properties=species:S:1:pos:R:3 pbc="T T T"
Sm 0.0000 0.0000 0.0000
Sm 1.4091 2.9535 1.4484
Sm 4.5607 2.9334 6.3980
Sm 6.1362 5.9518 7.7988
Y 0.1021 0.1025 6.4000
Y 3.7435 4.4642 3.3349
Y 4.7018 2.9547 9.8220
Y 6.1015 5.9261 1.4426
Y 5.6198 1.4899 3.3346
Y 7.0474 4.4588 4.6211
Y 7.9644 3.0311 7.8548
Mg 2.3392 1.4648 4.4359
```

Peak list (8 most intense, 2θ = 15–90°, sorted by position)
30.0°, d = 2.976 Å, I 34; 31.2°, d = 2.867 Å, I 19; 31.4°, d = 2.851 Å, I 45; 31.7°, d = 2.825 Å, I 100; 32.2°, d = 2.782 Å, I 52; 35.2°, d = 2.548 Å, I 24; 37.5°, d = 2.400 Å, I 19; 62.1°, d = 1.495 Å, I 21

=====

[5]
Diffraction record for Sm6YMg2. The powder X-ray diffraction pattern is computed, not measured: it uses the GGA-PBE geometry in Alexandria and CuKα.
Peak positions follow from Bragg's law for the DFT cell and can differ from measured ones.

Crystal structure
```
9
Lattice="3.6800 2.1246 6.4540 -3.6800 2.1246 6.4540 0.0000 -4.2493 6.4540" Properties=species:S:1:pos:R:3 pbc="T T T"
Sm -0.0438 -2.0787 6.4540
Sm -1.7783 1.0773 6.4540
Sm -1.6084 0.8987 10.3350
Sm 0.0258 -1.8422 10.3350
Sm 1.8221 1.0014 6.4540
Sm 1.5825 0.9435 10.3350
Y 0.0000 0.0000 2.2586
Mg 0.0000 0.0000 13.1881
Mg 0.0000 0.0000 16.5919
```

Peak list (8 most intense, 2θ = 15–90°, sorted by position)
26.9°, d = 3.310 Å, I 24; 27.6°, d = 3.227 Å, I 37; 28.4°, d = 3.145 Å, I 100; 33.7°, d = 2.662 Å, I 86; 36.5°, d = 2.461 Å, I 90; 37.6°, d = 2.391 Å, I 30; 49.5°, d = 1.840 Å, I 39; 66.9°, d = 1.399 Å, I 26

=====

[6]
Diffraction record for SmYMg17. The powder X-ray diffraction pattern is computed, not measured: it uses the GGA-PBE geometry in Alexandria and CuKα.
Peak positions follow from Bragg's law for the DFT cell and can differ from measured ones.

Crystal structure
```
19
Lattice="5.1178 2.9548 5.0742 -5.1178 2.9548 5.0742 0.0000 -5.9095 5.0742" Properties=species:S:1:pos:R:3 pbc="T T T"
Sm 0.0000 0.0000 0.0000
Y 0.0000 0.0000 5.2044
Mg 0.0000 -2.8661 2.8349
Mg -2.4821 1.4331 2.8349
Mg -2.5725 -1.4852 7.6814
Mg 0.0000 -3.0233 7.4313
Mg -2.6183 1.5117 7.4313
Mg -1.5408 -2.6847 10.2090
Mg -3.0954 0.0080 10.2090
Mg 2.4821 1.4331 2.8349
Mg 0.0000 0.0000 8.6876
Mg 1.5408 -2.6847 10.2090
Mg -1.5546 2.6767 10.2090
Mg 2.5725 -1.4852 7.6814
Mg 0.0000 2.9705 7.6814
Mg 0.0000 0.0000 11.7122
Mg 2.6183 1.5117 7.4313
Mg 3.0954 0.0080 10.2090
Mg 1.5546 2.6767 10.2090
```

Peak list (8 most intense, 2θ = 15–90°, sorted by position)
17.3°, d = 5.118 Å, I 19; 24.7°, d = 3.603 Å, I 43; 30.2°, d = 2.955 Å, I 32; 31.0°, d = 2.884 Å, I 18; 35.1°, d = 2.555 Å, I 100; 35.4°, d = 2.537 Å, I 17; 35.8°, d = 2.511 Å, I 23; 63.4°, d = 1.468 Å, I 20